The following is a theoretical powder diffractogram of Tb3Y5P8. It was derived from DFT lattice parameters and positions (PBE), using Cu Kα.
Neutral-atom scattering factors, no anomalous dispersion.

The 12 most intense peaks (2θ from 10° to 80°), by intensity:
2θ = 31.5°, d 2.842, intensity 100
2θ = 45.1°, d 2.009, intensity 72
2θ = 27.2°, d 3.281, intensity 64
2θ = 74.7°, d 1.271, intensity 31
2θ = 53.5°, d 1.714, intensity 31
2θ = 56.1°, d 1.641, intensity 25
2θ = 72.5°, d 1.304, intensity 12
2θ = 65.7°, d 1.421, intensity 11
2θ = 13.5°, d 6.563, intensity 9
2θ = 26.0°, d 3.427, intensity 6
2θ = 34.4°, d 2.608, intensity 3
2θ = 47.3°, d 1.921, intensity 3

Structure:
```
data_Tb3Y5P8
_cell_length_a 8.0377
_cell_length_b 8.0377
_cell_length_c 19.6887
_cell_angle_alpha 90.00
_cell_angle_beta 90.00
_cell_angle_gamma 120.00
_symmetry_space_group_name_H-M 'R -3 m'
_symmetry_Int_Tables_number 166
_symmetry_space_group_name_Hall '-R 3 2"'
loop_
_atom_site_label
_atom_site_type_symbol
_atom_site_fract_x
_atom_site_fract_y
_atom_site_fract_z
Tb1 Tb 0.0000 0.5000 0.0000
Y1 Y 0.0000 0.0000 0.0000
Y2 Y 0.0000 0.0000 0.5000
Y3 Y 0.0000 0.5000 0.5000
P1 P 0.0000 0.0000 0.2498
P2 P 0.9997 0.4999 0.2499
```

The following is a theoretical powder diffractogram of CdPb2F8. It was derived from DFT lattice parameters and positions (PBE), using Cu Kα.
Neutral-atom scattering factors, no anomalous dispersion.

The 12 most intense peaks (2θ from 10° to 80°), by intensity:
2θ = 24.7°, d 3.610, intensity 100
2θ = 25.4°, d 3.501, intensity 97
2θ = 44.4°, d 2.041, intensity 44
2θ = 44.8°, d 2.021, intensity 28
2θ = 35.7°, d 2.513, intensity 23
2θ = 58.6°, d 1.575, intensity 21
2θ = 42.9°, d 2.106, intensity 19
2θ = 57.4°, d 1.604, intensity 18
2θ = 52.3°, d 1.750, intensity 18
2θ = 50.6°, d 1.805, intensity 16
2θ = 71.3°, d 1.323, intensity 12
2θ = 48.1°, d 1.891, intensity 11

Structure:
```
data_CdPb2F8
_cell_length_a 7.0013
_cell_length_b 7.0013
_cell_length_c 4.4925
_cell_angle_alpha 90.00
_cell_angle_beta 90.00
_cell_angle_gamma 120.00
_symmetry_space_group_name_H-M 'P -3'
_symmetry_Int_Tables_number 147
loop_
_symmetry_equiv_pos_as_xyz
'x,y,z'
'-x,-y,-z'
'-y,x-y,z'
'y,-x+y,-z'
'-x+y,-x,z'
'x-y,x,-z'
loop_
_atom_site_label
_atom_site_type_symbol
_atom_site_fract_x
_atom_site_fract_y
_atom_site_fract_z
Cd1 Cd 0.0000 0.0000 0.0000
Pb1 Pb 0.3333 0.6667 0.7569
F1 F 0.0792 0.7629 0.7597
F2 F 0.3333 0.6667 0.2580
```

The following is a theoretical powder diffractogram of CeZrScCd. It was derived from DFT lattice parameters and positions (PBE), using Cu Kα.
Neutral-atom scattering factors, no anomalous dispersion.

The 9 most intense peaks (2θ from 10° to 80°), by intensity:
2θ = 34.7°, d 2.584, intensity 100
2θ = 62.2°, d 1.492, intensity 35
2θ = 49.9°, d 1.827, intensity 17
2θ = 21.1°, d 4.219, intensity 14
2θ = 73.3°, d 1.292, intensity 11
2θ = 41.0°, d 2.203, intensity 8
2θ = 54.8°, d 1.676, intensity 3
2θ = 66.5°, d 1.406, intensity 3
2θ = 77.2°, d 1.235, intensity 3

Structure:
```
data_CeZrScCd
_cell_length_a 7.3075
_cell_length_b 7.3075
_cell_length_c 7.3075
_cell_angle_alpha 90.00
_cell_angle_beta 90.00
_cell_angle_gamma 90.00
_symmetry_space_group_name_H-M 'F -4 3 m'
_symmetry_Int_Tables_number 216
_symmetry_space_group_name_Hall 'F -4 2 3'
loop_
_atom_site_label
_atom_site_type_symbol
_atom_site_fract_x
_atom_site_fract_y
_atom_site_fract_z
Ce1 Ce 0.0000 0.0000 0.0000
Zr1 Zr 0.2500 0.2500 0.2500
Sc1 Sc 0.0000 0.0000 0.5000
Cd1 Cd 0.2500 0.2500 0.7500
```